Entry 1:
Computed X-ray powder pattern of ZrS2O6F2 for Cu Ka, from a cell relaxed with PBE.
No peak broadening, texture or thermal motion is included.

Top 8 peaks for 2θ from 10° to 90°, in order of rising 2θ:
two_theta  I_rel  h k l
15.71  19  0 0 1
23.90  100  1 0 1
31.25  34  1 1 0
36.66  17  1 0 2
39.72  12  2 0 1
48.92  14  2 0 2
51.38  20  2 1 1
52.02  11  0 1 3

Structure:
a = 5.725 Å, b = 5.725 Å, c = 5.641 Å
α = 90.00°, β = 90.00°, γ = 120.00°
Fractional positions:
Zr 0.000 0.000 0.000
S 0.333 0.667 0.780
S 0.667 0.333 0.220
O 0.177 0.355 0.790
O 0.177 0.823 0.790
O 0.355 0.177 0.210
O 0.645 0.823 0.790
O 0.823 0.177 0.210
O 0.823 0.645 0.210
F 0.333 0.667 0.492
F 0.667 0.333 0.508

***

Entry 2:
Computed X-ray powder pattern of CaU2BeO8 for Cu Ka, from a cell relaxed with PBE.
No peak broadening, texture or thermal motion is included.

Top 8 peaks for 2θ from 10° to 90°, in order of rising 2θ:
two_theta  I_rel  h k l
18.14  100  1 0 0
24.72  42  1 -1 0
25.93  20  0 0 2
26.75  31  1 1 0
30.75  39  0 1 -2
32.87  26  0 1 2
36.13  28  -1 1 2
36.75  17  2 0 0

Structure:
a = 4.913 Å, b = 4.920 Å, c = 6.903 Å
α = 93.69°, β = 93.66°, γ = 94.18°
Fractional positions:
Ca 0.000 0.000 0.000
U 0.478 0.478 0.741
U 0.522 0.522 0.259
Be 0.000 0.000 0.500
O 0.166 0.167 0.684
O 0.232 0.235 0.251
O 0.321 0.680 0.500
O 0.326 0.676 0.000
O 0.674 0.324 0.000
O 0.679 0.320 0.500
O 0.768 0.765 0.749
O 0.834 0.833 0.316